No. 1
This entry pairs a crystal structure of NpCo3 with its theoretical X-ray powder pattern. Radiation: copper Kα. Structure: a crystal structure in the Materials Project, relaxed with PBE.

Structural model:
```
NpCo3
1.0
2.6098 -4.5133 0.0000
2.6098 4.5133 0.0000
0.0000 0.0000 4.3686
Np Co
2 6
Direct
0.1667 0.8333 0.7500
0.8333 0.1667 0.2500
0.1754 0.3378 0.7500
0.3378 0.1754 0.2500
0.3378 0.6622 0.2500
0.6622 0.3378 0.7500
0.6622 0.8246 0.7500
0.8246 0.6622 0.2500
```

The 6 most intense peaks (5° ≤ 2θ ≤ 70°), in order of rising 2θ:
Position (°2θ), d/Å, I/Imax
19.65, 4.517, 19
28.42, 3.140, 59
34.39, 2.608, 24
39.92, 2.258, 24
41.33, 2.184, 29
45.20, 2.006, 100

=====

No. 2
This entry pairs a crystal structure of Np2Co17 with its theoretical X-ray powder pattern. Radiation: copper Kα. Structure: a crystal structure in the Materials Project, relaxed with PBE.

Structural model:
```
Np2Co17
1.0
8.0815 0.0000 0.0000
-4.0407 6.9988 0.0000
0.0000 0.0000 7.8464
Np Co
4 34
Direct
0.0000 0.0000 0.2500
0.0000 0.0000 0.7500
0.3333 0.6667 0.2500
0.6667 0.3333 0.7500
0.0000 0.5000 0.0000
0.0000 0.5000 0.5000
0.0407 0.3652 0.7500
0.0407 0.6755 0.7500
0.1650 0.3300 0.0257
0.1650 0.3300 0.4743
0.1650 0.8350 0.0257
0.1650 0.8350 0.4743
0.3245 0.3652 0.7500
0.3245 0.9593 0.7500
0.3300 0.1650 0.5257
0.3300 0.1650 0.9743
0.3333 0.6667 0.6002
0.3333 0.6667 0.8998
0.3652 0.0407 0.2500
0.3652 0.3245 0.2500
0.5000 0.0000 0.0000
0.5000 0.0000 0.5000
0.5000 0.5000 0.0000
0.5000 0.5000 0.5000
0.6348 0.6755 0.7500
0.6348 0.9593 0.7500
0.6667 0.3333 0.1002
0.6667 0.3333 0.3998
0.6700 0.8350 0.0257
0.6700 0.8350 0.4743
0.6755 0.0407 0.2500
0.6755 0.6348 0.2500
0.8350 0.1650 0.5257
0.8350 0.1650 0.9743
0.8350 0.6700 0.5257
0.8350 0.6700 0.9743
0.9593 0.3245 0.2500
0.9593 0.6348 0.2500
```

The 6 most intense peaks (5° ≤ 2θ ≤ 70°), in order of rising 2θ:
Position (°2θ), d/Å, I/Imax
31.79, 2.815, 57
38.59, 2.333, 48
43.18, 2.095, 39
44.86, 2.020, 59
45.22, 2.005, 100
46.28, 1.962, 27

=====

No. 3
This entry pairs a crystal structure of CoOs with its theoretical X-ray powder pattern. Radiation: copper Kα. Structure: a crystal structure in the Materials Project, relaxed with PBE.

Structural model:
```
CoOs
1.0
2.6713 0.0000 0.0000
-1.3356 2.3134 0.0000
0.0000 0.0000 4.1166
Co Os
1 1
Direct
0.0000 0.0000 0.0000
0.6667 0.3333 0.5000
```

The 6 most intense peaks (5° ≤ 2θ ≤ 70°), in order of rising 2θ:
Position (°2θ), d/Å, I/Imax
21.59, 4.117, 34
38.93, 2.313, 41
43.99, 2.058, 22
44.95, 2.017, 100
60.18, 1.538, 23
68.36, 1.372, 2

=====

No. 4
This entry pairs a crystal structure of Co3Os with its theoretical X-ray powder pattern. Radiation: copper Kα. Structure: a crystal structure in the Materials Project, relaxed with PBE.

Structural model:
```
Co3Os
1.0
-1.7880 1.7880 3.5649
1.7880 -1.7880 3.5649
1.7880 1.7880 -3.5649
Co Os
3 1
Direct
0.0000 0.0000 0.0000
0.2500 0.7500 0.5000
0.7500 0.2500 0.5000
0.5000 0.5000 0.0000
```

The 6 most intense peaks (5° ≤ 2θ ≤ 70°), in order of rising 2θ:
Position (°2θ), d/Å, I/Imax
24.98, 3.565, 12
27.91, 3.196, 37
43.90, 2.062, 100
45.85, 1.979, 10
51.08, 1.788, 32
51.25, 1.782, 16

=====

No. 5
This entry pairs a crystal structure of CoP2 with its theoretical X-ray powder pattern. Radiation: copper Kα. Structure: a crystal structure in the Materials Project, relaxed with PBE.

Structural model:
```
CoP2
1.0
5.5408 0.0000 0.0000
0.0000 5.5450 0.0000
-2.3229 0.0000 5.1104
Co P
4 8
Direct
0.2281 0.0013 0.2116
0.2281 0.4987 0.7116
0.7719 0.5013 0.2884
0.7719 0.9987 0.7884
0.1609 0.1287 0.8174
0.1609 0.3713 0.3174
0.3423 0.6273 0.1316
0.3423 0.8727 0.6316
0.6577 0.1273 0.3684
0.6577 0.3727 0.8684
0.8391 0.6287 0.6826
0.8391 0.8713 0.1826
```

The 6 most intense peaks (5° ≤ 2θ ≤ 70°), in order of rising 2θ:
Position (°2θ), d/Å, I/Imax
24.87, 3.580, 100
32.29, 2.773, 46
35.12, 2.555, 62
35.60, 2.522, 71
37.69, 2.387, 50
52.42, 1.745, 47

=====

No. 6
This entry pairs a crystal structure of Co3P with its theoretical X-ray powder pattern. Radiation: copper Kα. Structure: a crystal structure in the Materials Project, relaxed with PBE.

Structural model:
```
Co3P
1.0
-4.4417 4.4417 2.1854
4.4417 -4.4417 2.1854
4.4417 4.4417 -2.1854
Co P
12 4
Direct
0.0882 0.5631 0.6864
0.1422 0.2451 0.8296
0.1667 0.2801 0.4505
0.2838 0.8333 0.1135
0.4155 0.3126 0.1704
0.4369 0.1233 0.5251
0.5982 0.9118 0.4749
0.6874 0.8578 0.1029
0.7199 0.1703 0.8865
0.7549 0.5845 0.8971
0.8297 0.7162 0.5495
0.8767 0.4018 0.3136
0.1849 0.4405 0.1617
0.2788 0.0232 0.8383
0.5595 0.7212 0.7444
0.9768 0.8151 0.2556
```

The 6 most intense peaks (5° ≤ 2θ ≤ 70°), in order of rising 2θ:
Position (°2θ), d/Å, I/Imax
42.10, 2.146, 100
43.21, 2.094, 26
43.86, 2.064, 52
45.67, 1.986, 33
47.02, 1.933, 83
53.09, 1.725, 30

=====

No. 7
This entry pairs a crystal structure of CoP with its theoretical X-ray powder pattern. Radiation: copper Kα. Structure: a crystal structure in the Materials Project, relaxed with PBE.

Structural model:
```
CoP
1.0
5.0722 0.0000 0.0000
0.0000 3.2691 0.0000
0.0000 0.0000 5.5551
Co P
4 4
Direct
0.0012 0.2500 0.1964
0.4988 0.7500 0.6964
0.5012 0.2500 0.3036
0.9988 0.7500 0.8036
0.1910 0.2500 0.5818
0.3090 0.7500 0.0818
0.6910 0.2500 0.9182
0.8090 0.7500 0.4182
```

The 6 most intense peaks (5° ≤ 2θ ≤ 70°), in order of rising 2θ:
Position (°2θ), d/Å, I/Imax
31.76, 2.817, 67
36.48, 2.463, 29
46.49, 1.953, 54
48.28, 1.885, 100
48.61, 1.873, 36
56.28, 1.635, 27

=====

No. 8
This entry pairs a crystal structure of CoPPd with its theoretical X-ray powder pattern. Radiation: copper Kα. Structure: a crystal structure in the Materials Project, relaxed with PBE.

Structural model:
```
CoPPd
1.0
3.6191 0.0000 0.0000
0.0000 3.6191 0.0000
0.0000 0.0000 5.8421
Co P Pd
2 2 2
Direct
0.2500 0.7500 0.0000
0.7500 0.2500 0.0000
0.2500 0.2500 0.2208
0.7500 0.7500 0.7792
0.2500 0.2500 0.6225
0.7500 0.7500 0.3775
```

The 6 most intense peaks (5° ≤ 2θ ≤ 70°), in order of rising 2θ:
Position (°2θ), d/Å, I/Imax
29.02, 3.077, 24
38.40, 2.344, 100
39.65, 2.273, 72
50.43, 1.810, 49
53.43, 1.715, 23
65.99, 1.416, 31

=====

No. 9
This entry pairs a crystal structure of PrCo8P5 with its theoretical X-ray powder pattern. Radiation: copper Kα. Structure: a crystal structure in the Materials Project, relaxed with PBE.

Structural model:
```
PrCo8P5
1.0
3.5447 0.0000 0.0000
0.0000 10.4226 0.0000
0.0000 0.0000 9.2415
Pr Co P
2 16 10
Direct
0.2500 0.2500 0.1768
0.7500 0.7500 0.8232
0.2500 0.0040 0.8896
0.2500 0.0832 0.4791
0.2500 0.2500 0.8484
0.2500 0.4168 0.4791
0.2500 0.4960 0.8896
0.2500 0.6073 0.3025
0.2500 0.7500 0.5460
0.2500 0.8927 0.3025
0.7500 0.1073 0.6975
0.7500 0.2500 0.4540
0.7500 0.3927 0.6975
0.7500 0.5040 0.1104
0.7500 0.5832 0.5209
0.7500 0.7500 0.1516
0.7500 0.9168 0.5209
0.7500 0.9960 0.1104
0.2500 0.2500 0.6147
0.2500 0.5574 0.6609
0.2500 0.6305 0.0675
0.2500 0.8695 0.0675
0.2500 0.9426 0.6609
0.7500 0.0574 0.3391
0.7500 0.1305 0.9325
0.7500 0.3695 0.9325
0.7500 0.4426 0.3391
0.7500 0.7500 0.3853
```

The 6 most intense peaks (5° ≤ 2θ ≤ 70°), in order of rising 2θ:
Position (°2θ), d/Å, I/Imax
36.26, 2.477, 94
37.53, 2.396, 50
39.72, 2.269, 77
41.30, 2.186, 100
51.57, 1.772, 60
52.74, 1.736, 35

=====

No. 10
This entry pairs a crystal structure of PrCo3P2 with its theoretical X-ray powder pattern. Radiation: copper Kα. Structure: a crystal structure in the Materials Project, relaxed with PBE.

Structural model:
```
PrCo3P2
1.0
3.7746 0.0000 0.0000
0.0000 10.6807 0.0000
0.0000 0.0000 12.4097
Pr Co P
6 18 12
Direct
0.2500 0.0660 0.2060
0.2500 0.2500 0.4782
0.2500 0.4340 0.2060
0.7500 0.5660 0.7940
0.7500 0.7500 0.5218
0.7500 0.9340 0.7940
0.2500 0.1324 0.7102
0.2500 0.2500 0.0129
0.2500 0.3676 0.7102
0.2500 0.5468 0.4306
0.2500 0.5835 0.9964
0.2500 0.7500 0.1578
0.2500 0.7500 0.7054
0.2500 0.9165 0.9964
0.2500 0.9532 0.4306
0.7500 0.0468 0.5694
0.7500 0.0835 0.0036
0.7500 0.2500 0.2946
0.7500 0.2500 0.8422
0.7500 0.4165 0.0036
0.7500 0.4532 0.5694
0.7500 0.6324 0.2898
0.7500 0.7500 0.9871
0.7500 0.8676 0.2898
0.2500 0.0993 0.8960
0.2500 0.4007 0.8960
0.2500 0.5547 0.6139
0.2500 0.7500 0.3388
0.2500 0.7500 0.8870
0.2500 0.9453 0.6139
0.7500 0.0547 0.3861
0.7500 0.2500 0.1130
0.7500 0.2500 0.6612
0.7500 0.4453 0.3861
0.7500 0.5993 0.1040
0.7500 0.9007 0.1040
```

The 6 most intense peaks (5° ≤ 2θ ≤ 70°), in order of rising 2θ:
Position (°2θ), d/Å, I/Imax
33.20, 2.698, 15
37.53, 2.397, 37
37.63, 2.390, 100
38.49, 2.339, 19
40.06, 2.251, 17
48.22, 1.887, 28

=====

No. 11
This entry pairs a crystal structure of Co2Re5P12 with its theoretical X-ray powder pattern. Radiation: copper Kα. Structure: a crystal structure in the Materials Project, relaxed with PBE.

Structural model:
```
Co2Re5P12
1.0
11.9265 0.0000 0.0000
0.0000 14.9105 0.0000
0.0000 0.0000 3.0601
Co Re P
4 10 24
Direct
0.1310 0.1545 0.0000
0.3690 0.6545 0.5000
0.6310 0.3455 0.5000
0.8690 0.8455 0.0000
0.0000 0.5000 0.5000
0.0772 0.7579 0.0000
0.1822 0.8992 0.5000
0.3178 0.3992 0.0000
0.4228 0.2579 0.5000
0.5000 0.0000 0.0000
0.5772 0.7421 0.5000
0.6822 0.6008 0.0000
0.8178 0.1008 0.5000
0.9228 0.2421 0.0000
0.0280 0.9263 0.0000
0.0772 0.2619 0.5000
0.1002 0.5955 0.0000
0.1542 0.4005 0.5000
0.2116 0.0629 0.5000
0.2255 0.7422 0.5000
0.2745 0.2422 0.0000
0.2884 0.5629 0.0000
0.3458 0.9005 0.0000
0.3998 0.0955 0.5000
0.4228 0.7619 0.0000
0.4720 0.4263 0.5000
0.5280 0.5737 0.5000
0.5772 0.2381 0.0000
0.6002 0.9045 0.5000
0.6542 0.0995 0.0000
0.7116 0.4371 0.0000
0.7255 0.7578 0.0000
0.7745 0.2578 0.5000
0.7884 0.9371 0.5000
0.8458 0.5995 0.5000
0.8998 0.4045 0.0000
0.9228 0.7381 0.5000
0.9720 0.0737 0.0000
```

The 6 most intense peaks (5° ≤ 2θ ≤ 70°), in order of rising 2θ:
Position (°2θ), d/Å, I/Imax
16.01, 5.537, 100
23.15, 3.841, 80
28.23, 3.161, 78
32.51, 2.754, 83
35.09, 2.557, 79
48.38, 1.881, 81